1.
Diffraction record for AlVInO4. The powder XRD pattern is calculated, not measured: it uses a structure optimized by DFT (PBE+U) and a wavelength of 1.5418 Å.

Cell: 6.048 6.240 8.629 Å, 90.00 90.00 90.00°
Space group Imma (No. 74)
Symmetry-distinct sites (fractional):
1 Al 0.000 0.250 0.129 [4 per cell]
2 V 0.250 0.250 0.750 [4 per cell]
3 In 0.000 0.000 0.500 [4 per cell]
4 O 0.000 0.007 0.245 [8 per cell]
5 O 0.243 0.250 0.003 [8 per cell]

Most intense lines, 15 to 90 degrees two-theta, most intense first:
h k l  two_theta  Rel. int.
1 0 1  17.91  100
1 2 1  33.96  85
1 0 3  34.54  64
2 2 0  41.59  53
2 2 4  60.50  49
0 0 4  41.88  26
0 2 2  35.51  21
3 2 1  55.28  21
1 2 3  45.43  20
2 0 2  36.28  19


2.
Diffraction record for AlInWO6. The powder XRD pattern is calculated, not measured: it uses a structure optimized by DFT (PBE+U) and a wavelength of 1.5418 Å.

Cell: 5.0615 5.0615 9.3058 Å, 90.00 90.00 120.00°
Space group P-31c (No. 163)
Symmetry-distinct sites (fractional):
1 Al 0.3333 0.6667 0.2500 [2 per cell]
2 In 0.0000 0.0000 0.0000 [2 per cell]
3 W 0.3333 0.6667 0.7500 [2 per cell]
4 O 0.0046 0.3608 0.1375 [12 per cell]

Most intense lines, 15 to 90 degrees two-theta, most intense first:
h k l  two_theta  Rel. int.
1 0 2  27.97  100
1 1 0  35.46  61
1 0 1  22.42  59
1 1 4  53.50  50
3 0 0  63.67  32
2 0 2  45.76  25
2 1 2  59.20  24
2 0 1  42.37  12
3 0 4  77.07  12
3 -1 6  85.83  12